For Cs3SbF6, a crystal structure in the Materials Project, relaxed with GGA-PBE gives the computed XRD peak list in this record (a wavelength of 1.5418 Å).

Top 10 peaks for 10° ≤ 2θ ≤ 90°, by intensity:
2θ = 12.35°, I 100, hkl 0 0 1
2θ = 24.81°, I 30, hkl 0 0 2
2θ = 29.90°, I 29, hkl 2 -2 0
2θ = 19.34°, I 20, hkl 1 1 -1
2θ = 24.45°, I 17, hkl 0 1 -2
2θ = 24.92°, I 15, hkl 2 0 0
2θ = 39.30°, I 15, hkl 2 -2 2
2θ = 32.45°, I 12, hkl 1 -2 2
2θ = 35.85°, I 11, hkl 1 1 -3
2θ = 40.34°, I 10, hkl 2 2 0

abc: 7.637 7.663 7.664
angles: 102.54 102.70 102.82
Space group P-1 (No. 2)
Symmetry-distinct sites (fractional):
1 Cs 0.000 0.000 0.000
2 Cs 0.000 0.500 0.500
3 Cs 0.500 0.000 0.500
4 Sb 0.000 0.000 0.500
5 F 0.067 0.791 0.294
6 F 0.206 0.933 0.711
7 F 0.215 0.212 0.444